[1]
For Y3Pt8Au, a cell relaxed with GGA-PBE gives the computed powder XRD pattern in this record (copper Kα).
Intensities are scaled so that the largest is 100.

The 8 most intense peaks (10° ≤ 2θ ≤ 90°), in order of rising 2θ:
2theta, d (Å), Rel. int., hkl
20.09, 4.421, 29.1, 0 1 2
33.09, 2.707, 13.8, 1 1 0
39.02, 2.309, 100.0, 1 1 6
40.83, 2.210, 58.8, 0 0 12
47.50, 1.914, 14.6, 2 0 8
63.09, 1.474, 31.6, 3 0 6
69.44, 1.353, 29.8, 2 2 0
83.81, 1.154, 22.9, 2 2 12

Cell and atoms:
abc: 5.4128 5.4128 26.5352
angles: 90.00 90.00 120.00
Space group R3m (No. 160, hexagonal axes)
Symmetry-distinct sites (fractional):
Y (0.0000, 0.0000, 0.0000)
Y (0.0000, 0.0000, 0.1306)
Y (0.0000, 0.0000, 0.5196)
Pt (0.0000, 0.0000, 0.3202)
Pt (0.0000, 0.0000, 0.8202)
Pt (0.0007, 0.5004, 0.0715)
Pt (0.1684, 0.3369, 0.9025)
Au (0.0000, 0.0000, 0.6379)

***

[2]
For Y5Pt2Au2, a cell relaxed with GGA-PBE gives the computed powder XRD pattern in this record (copper Kα).
Intensities are scaled so that the largest is 100.

The 8 most intense peaks (10° ≤ 2θ ≤ 90°), in order of rising 2θ:
2theta, d (Å), Rel. int., hkl
24.02, 3.705, 70.0, 3 1 1
28.96, 3.083, 45.4, 2 2 1
31.42, 2.848, 93.7, 3 1 2
33.40, 2.683, 90.1, 0 2 2
35.46, 2.532, 100.0, 4 2 1
37.46, 2.401, 65.2, 1 1 3
38.38, 2.345, 58.5, 1 3 1
67.57, 1.386, 45.0, 7 3 3

Cell and atoms:
abc: 15.356 7.483 7.709
angles: 90.00 90.00 90.00
Space group Cmce (No. 64)
Symmetry-distinct sites (fractional):
Y (0.000, 0.000, 0.000)
Y (0.133, 0.171, 0.329)
Pt (0.000, 0.130, 0.632)
Au (0.206, 0.000, 0.000)

***

[3]
For ZnPtAu, a cell relaxed with GGA-PBE gives the computed powder XRD pattern in this record (copper Kα).
Intensities are scaled so that the largest is 100.

The 8 most intense peaks (10° ≤ 2θ ≤ 90°), in order of rising 2θ:
2theta, d (Å), Rel. int., hkl
39.13, 2.302, 100.0, 1 1 3
44.00, 2.058, 18.1, 0 2 0
44.98, 2.015, 16.5, 0 0 6
47.46, 1.916, 14.6, 2 0 0
64.74, 1.440, 11.2, 0 2 6
77.62, 1.230, 13.7, 1 3 3
79.03, 1.212, 12.3, 1 1 9
82.65, 1.167, 11.8, 3 1 3

Cell and atoms:
abc: 3.831 4.116 12.091
angles: 90.00 90.00 90.00
Space group Amm2 (No. 38)
Symmetry-distinct sites (fractional):
Zn (0.000, 0.000, 0.000)
Zn (0.000, 0.000, 0.323)
Pt (0.500, 0.000, 0.158)
Pt (0.500, 0.000, 0.485)
Au (0.000, 0.000, 0.656)
Au (0.500, 0.000, 0.830)

***

[4]
For ZnPtAu, a cell relaxed with GGA-PBE gives the computed powder XRD pattern in this record (copper Kα).
Intensities are scaled so that the largest is 100.

The 8 most intense peaks (10° ≤ 2θ ≤ 90°), in order of rising 2θ:
2theta, d (Å), Rel. int., hkl
31.46, 2.843, 18.3, 1 0 1
39.31, 2.292, 100.0, 1 0 3
43.47, 2.082, 39.1, 1 1 0
49.96, 1.826, 11.3, 0 0 6
63.16, 1.472, 12.9, 2 0 0
68.34, 1.373, 17.7, 1 1 6
76.98, 1.239, 28.4, 2 1 3
84.56, 1.146, 10.2, 2 0 6

Cell and atoms:
abc: 2.944 2.944 10.954
angles: 90.00 90.00 90.00
Space group I4mm (No. 107)
Symmetry-distinct sites (fractional):
Zn (0.000, 0.000, 0.000)
Pt (0.000, 0.000, 0.647)
Au (0.000, 0.000, 0.333)

***

[5]
For ZnPtAu2, a cell relaxed with GGA-PBE gives the computed powder XRD pattern in this record (copper Kα).
Intensities are scaled so that the largest is 100.

The 8 most intense peaks (10° ≤ 2θ ≤ 90°), in order of rising 2θ:
2theta, d (Å), Rel. int., hkl
38.45, 2.341, 100.0, 1 0 4
39.10, 2.304, 30.5, 0 0 12
44.89, 2.019, 63.8, 0 1 8
64.91, 1.437, 21.8, 1 1 0
65.80, 1.419, 20.1, 1 0 16
78.04, 1.225, 13.0, 0 2 4
78.45, 1.219, 24.5, 1 1 12
82.38, 1.171, 11.2, 2 0 8

Cell and atoms:
abc: 2.8733 2.8733 27.6477
angles: 90.00 90.00 120.00
Space group R-3m (No. 166, hexagonal axes)
Symmetry-distinct sites (fractional):
Zn (0.0000, 0.0000, 0.0000)
Pt (0.0000, 0.0000, 0.5000)
Au (0.0000, 0.0000, 0.2538)

***

[6]
For Zn2PtAu8, a cell relaxed with GGA-PBE gives the computed powder XRD pattern in this record (copper Kα).
Intensities are scaled so that the largest is 100.

The 8 most intense peaks (10° ≤ 2θ ≤ 90°), in order of rising 2θ:
2theta, d (Å), Rel. int., hkl
38.01, 2.367, 100.0, 1 1 2
38.12, 2.361, 99.5, 5 1 -1
42.99, 2.104, 35.7, 4 0 -3
43.88, 2.063, 34.5, 0 2 0
45.81, 1.981, 28.6, 6 0 1
63.11, 1.473, 23.0, 4 2 -3
65.30, 1.429, 19.7, 6 2 1
76.77, 1.242, 26.5, 5 3 -1

Cell and atoms:
abc: 14.535 4.126 6.623
angles: 90.00 107.74 90.00
Space group C2/m (No. 12)
Symmetry-distinct sites (fractional):
Zn (0.224, 0.000, 0.152)
Pt (0.000, 0.500, 0.500)
Au (0.044, 0.000, 0.230)
Au (0.100, 0.500, 0.959)
Au (0.145, 0.000, 0.704)
Au (0.179, 0.500, 0.414)

***

[7]
For Zn8Pt3Au, a cell relaxed with GGA-PBE gives the computed powder XRD pattern in this record (copper Kα).
Intensities are scaled so that the largest is 100.

The 8 most intense peaks (10° ≤ 2θ ≤ 90°), in order of rising 2θ:
2theta, d (Å), Rel. int., hkl
25.00, 3.561, 55.6, 0 2 2
26.57, 3.355, 67.9, 2 0 2
41.93, 2.155, 26.0, 0 4 0
42.16, 2.143, 100.0, 2 2 4
45.86, 1.979, 20.0, 4 0 0
48.05, 1.894, 18.3, 0 2 6
50.33, 1.813, 24.2, 2 4 2
76.75, 1.242, 16.6, 2 6 4

Cell and atoms:
abc: 7.915 8.619 12.649
angles: 90.00 90.00 90.00
Space group Fmmm (No. 69)
Symmetry-distinct sites (fractional):
Zn (0.000, 0.245, 0.119)
Zn (0.243, 0.000, 0.137)
Pt (0.000, 0.000, 0.000)
Pt (0.250, 0.250, 0.250)
Au (0.000, 0.000, 0.500)

***

[8]
For Zn10Pt6Au, a cell relaxed with GGA-PBE gives the computed powder XRD pattern in this record (copper Kα).
Intensities are scaled so that the largest is 100.

The 8 most intense peaks (10° ≤ 2θ ≤ 90°), in order of rising 2θ:
2theta, d (Å), Rel. int., hkl
29.06, 3.073, 54.4, 1 1 1
40.17, 2.245, 36.3, 3 -1 1
41.19, 2.192, 99.1, 3 0 0
41.93, 2.155, 100.0, 1 1 2
53.19, 1.722, 15.1, 3 1 1
60.23, 1.536, 26.4, 4 -2 2
75.58, 1.258, 21.8, 4 1 2
77.10, 1.237, 14.1, 2 -1 4

Cell and atoms:
abc: 7.5918 7.5918 5.2342
angles: 90.00 90.00 120.00
Space group P-31m (No. 162)
Symmetry-distinct sites (fractional):
Zn (0.0000, 0.2899, 0.3113)
Zn (0.3333, 0.6667, 0.0000)
Zn (0.3333, 0.6667, 0.5000)
Pt (0.0000, 0.3679, 0.7949)
Au (0.0000, 0.0000, 0.0000)

***

- Which formula does entry 4 have?
  ZnPtAu